Computed powder diffraction line list
Compound: CaPt2O4
Radiation: Cu Kα (λ = 1.5418 Å)
Structure: the GGA-PBE geometry in the Materials Project
Lines closer than 0.1° are merged.

The 10 most intense peaks (2θ from 10° to 90°), most intense first:
2theta, Rel. int.
34.73, 100
15.32, 88
38.16, 52
21.80, 33
31.12, 24
55.14, 24
34.87, 23
75.37, 22
57.73, 19
47.29, 14

Crystal structure
```
CaPt2O4
1.0
5.7820 0.0000 0.0000
0.0000 5.7820 0.0000
0.0000 0.0000 5.7470
Ca Pt O
2 4 8
Cartesian
0.0000 2.8910 0.0000
2.8910 0.0000 2.8735
0.0000 1.3811 2.8735
0.0000 4.4009 2.8735
1.3811 0.0000 0.0000
4.4009 0.0000 0.0000
1.4042 1.4042 1.4368
1.4042 1.4042 4.3103
1.4042 4.3778 1.4368
1.4042 4.3778 4.3103
4.3778 1.4042 1.4368
4.3778 1.4042 4.3103
4.3778 4.3778 1.4368
4.3778 4.3778 4.3103
```